Diffraction record for MgTl. The powder X-ray diffraction pattern is calculated, not measured: it uses the PBE geometry in Alexandria and copper Kα.

Crystal structure
Cell lengths 13.1340, 3.3563, 7.4391 Å; angles 90.00, 90.00, 90.00 degrees
Sites, in units of the cell vectors:
Mg 0.0000 0.0070 0.0000
Mg 0.1166 0.5018 0.2948
Mg 0.3834 0.4982 0.7948
Mg 0.5000 0.9930 0.5000
Mg 0.6166 0.4982 0.7948
Mg 0.8834 0.5018 0.2948
Tl 0.0000 0.9939 0.6085
Tl 0.2302 0.9990 0.9973
Tl 0.2698 0.0010 0.4973
Tl 0.5000 0.0061 0.1085
Tl 0.7302 0.0010 0.4973
Tl 0.7698 0.9990 0.9973

Peak list (10 most intense, 10° ≤ 2θ ≤ 90°, by angle)
2θ 23.6, 3.773 Å, I 77
2θ 23.9, 3.720 Å, I 79
2θ 26.6, 3.356 Å, I 100
2θ 27.2, 3.284 Å, I 80
2θ 27.6, 3.236 Å, I 82
2θ 35.8, 2.508 Å, I 50
2θ 36.0, 2.492 Å, I 84
2θ 36.5, 2.462 Å, I 69
2θ 38.4, 2.347 Å, I 92
2θ 38.6, 2.330 Å, I 66